1.
# ErScAl4
Simulated X-ray powder pattern, Cu Kα (λ = 1.5418 Å). Input: a crystal structure in OQMD, relaxed with PBE.
Kinematic intensities with the Lorentz-polarization factor, no thermal factor.

The 6 most intense peaks (10° ≤ 2θ ≤ 80°), by angle:
- 13.7 deg, intensity 36
- 20.9 deg, intensity 25
- 22.1 deg, intensity 33
- 29.6 deg, intensity 21
- 30.6 deg, intensity 30
- 36.5 deg, intensity 100

Unit cell a=4.256 b=6.802 c=6.802 alpha=36.19 beta=90.00 gamma=90.00
Atoms (fractional coordinates):
1 Er 0.000 0.000 0.000
2 Sc 0.000 0.311 0.311
3 Al 0.000 0.661 0.661
4 Al 0.500 0.160 0.160
5 Al 0.500 0.482 0.482
6 Al 0.500 0.822 0.822

2.
# ErAl5Se3
Simulated X-ray powder pattern, Cu Kα (λ = 1.5418 Å). Input: a crystal structure in OQMD, relaxed with PBE.
Kinematic intensities with the Lorentz-polarization factor, no thermal factor.

The 6 most intense peaks (10° ≤ 2θ ≤ 80°), by angle:
- 14.4 deg, intensity 78
- 15.4 deg, intensity 65
- 26.1 deg, intensity 60
- 28.7 deg, intensity 92
- 30.3 deg, intensity 100
- 31.9 deg, intensity 68

Unit cell a=5.962 b=5.994 c=6.457 alpha=74.26 beta=79.76 gamma=82.11
Atoms (fractional coordinates):
1 Er 0.000 0.000 0.000
2 Al 0.205 0.739 0.604
3 Al 0.439 0.717 0.921
4 Al 0.449 0.900 0.235
5 Al 0.617 0.307 0.633
6 Al 0.830 0.565 0.283
7 Se 0.205 0.314 0.620
8 Se 0.600 0.300 0.049
9 Se 0.784 0.887 0.666

3.
# YErAl3Si2
Simulated X-ray powder pattern, Cu Kα (λ = 1.5418 Å). Input: a crystal structure in OQMD, relaxed with PBE.
Kinematic intensities with the Lorentz-polarization factor, no thermal factor.

The 6 most intense peaks (10° ≤ 2θ ≤ 80°), by angle:
- 13.7 deg, intensity 45
- 28.4 deg, intensity 63
- 35.0 deg, intensity 44
- 35.3 deg, intensity 100
- 35.7 deg, intensity 64
- 36.1 deg, intensity 43

Unit cell a=5.460 b=5.460 c=6.606 alpha=100.14 beta=100.14 gamma=43.42
Atoms (fractional coordinates):
1 Y 0.000 0.000 0.000
2 Er 0.761 0.761 0.355
3 Al 0.076 0.076 0.544
4 Al 0.379 0.379 0.677
5 Al 0.686 0.686 0.810
6 Si 0.287 0.287 0.039
7 Si 0.473 0.473 0.319

4.
# Sm2Er2Al3
Simulated X-ray powder pattern, Cu Kα (λ = 1.5418 Å). Input: a crystal structure in OQMD, relaxed with PBE.
Kinematic intensities with the Lorentz-polarization factor, no thermal factor.

The 6 most intense peaks (10° ≤ 2θ ≤ 80°), by angle:
- 24.9 deg, intensity 28
- 28.3 deg, intensity 100
- 31.2 deg, intensity 52
- 31.8 deg, intensity 31
- 33.3 deg, intensity 32
- 34.9 deg, intensity 42

Unit cell a=8.826 b=8.826 c=5.816 alpha=94.19 beta=94.19 gamma=25.43
Atoms (fractional coordinates):
1 Sm 0.088 0.088 0.352
2 Sm 0.912 0.912 0.648
3 Er 0.334 0.334 0.136
4 Er 0.666 0.666 0.864
5 Al 0.271 0.271 0.641
6 Al 0.500 0.500 0.000
7 Al 0.729 0.729 0.359

What did the first record say?
# ErScAl4
Simulated X-ray powder pattern, Cu Kα (λ = 1.5418 Å). Input: a crystal structure in OQMD, relaxed with PBE.
Kinematic intensities with the Lorentz-polarization factor, no thermal factor.

The 6 most intense peaks (10° ≤ 2θ ≤ 80°), by angle:
- 13.7 deg, intensity 36
- 20.9 deg, intensity 25
- 22.1 deg, intensity 33
- 29.6 deg, intensity 21
- 30.6 deg, intensity 30
- 36.5 deg, intensity 100

Unit cell a=4.256 b=6.802 c=6.802 alpha=36.19 beta=90.00 gamma=90.00
Atoms (fractional coordinates):
1 Er 0.000 0.000 0.000
2 Sc 0.000 0.311 0.311
3 Al 0.000 0.661 0.661
4 Al 0.500 0.160 0.160
5 Al 0.500 0.482 0.482
6 Al 0.500 0.822 0.822